# Nd6ZnCd
Simulated X-ray diffraction stick pattern, Cu Kα (weighted mean of Kα1 and Kα2). Input: DFT lattice parameters and positions (PBE).
Intensities are scaled so that the largest is 100.

Cell lengths 9.722, 9.722, 9.722 Å; angles 148.54, 148.54, 45.08 degrees
Positions (direct):
Nd  0.107  0.607  0.500
Nd  0.250  0.250  0.000
Nd  0.393  0.893  0.500
Nd  0.607  0.107  0.500
Nd  0.750  0.750  0.000
Nd  0.893  0.393  0.500
Zn  0.000  0.000  0.000
Cd  0.500  0.500  0.000

Largest 10 diffraction maxima, sorted by position, 2θ from 5° to 70°:
2θ (°)  intensity
25.9  9
31.2  100
34.0  44
40.2  9
45.9  7
48.9  16
53.6  15
56.9  7
59.1  32
65.0  8



# TbMn6Al6
Simulated X-ray diffraction stick pattern, Cu Kα (weighted mean of Kα1 and Kα2). Input: DFT lattice parameters and positions (PBE).
Intensities are scaled so that the largest is 100.

Cell lengths 6.635, 6.635, 6.635 Å; angles 136.45, 99.05, 96.77 degrees
Positions (direct):
Tb  0.000  0.000  0.000
Mn  0.000  0.000  0.500
Mn  0.000  0.500  0.000
Mn  0.236  0.500  0.736
Mn  0.500  0.000  0.000
Mn  0.500  0.500  0.500
Mn  0.764  0.500  0.264
Al  0.198  0.698  0.500
Al  0.339  0.000  0.339
Al  0.347  0.347  0.000
Al  0.653  0.653  0.000
Al  0.661  0.000  0.661
Al  0.802  0.302  0.500

Largest 10 diffraction maxima, sorted by position, 2θ from 5° to 70°:
2θ (°)  intensity
14.4  55
29.0  24
29.1  28
29.4  52
41.0  37
41.5  62
41.8  36
42.0  100
42.3  32
60.9  24



# TbErCoAg
Simulated X-ray diffraction stick pattern, Cu Kα (weighted mean of Kα1 and Kα2). Input: DFT lattice parameters and positions (PBE).
Intensities are scaled so that the largest is 100.

Cell lengths 3.362, 3.362, 7.515 Å; angles 90.00, 90.00, 90.00 degrees
Positions (direct):
Tb  0.000  0.000  0.000
Er  0.000  0.000  0.562
Co  0.500  0.500  0.777
Ag  0.500  0.500  0.288

Largest 10 diffraction maxima, sorted by position, 2θ from 5° to 70°:
2θ (°)  intensity
26.5  10
29.1  9
35.8  100
37.8  45
45.1  7
48.5  7
53.1  7
54.6  15
63.1  15
67.0  33



# Sm4Te3Au
Simulated X-ray diffraction stick pattern, Cu Kα (weighted mean of Kα1 and Kα2). Input: DFT lattice parameters and positions (PBE).
Intensities are scaled so that the largest is 100.

Cell lengths 7.717, 7.717, 4.305 Å; angles 90.00, 90.00, 108.44 degrees
Positions (direct):
Sm  0.231  0.231  0.500
Sm  0.244  0.756  0.000
Sm  0.756  0.244  0.000
Sm  0.769  0.769  0.500
Te  0.000  0.500  0.500
Te  0.500  0.000  0.500
Te  0.500  0.500  0.000
Au  0.000  0.000  0.000

Largest 10 diffraction maxima, sorted by position, 2θ from 5° to 70°:
2θ (°)  intensity
28.5  51
28.7  100
40.0  20
40.9  77
42.0  18
49.8  21
51.5  20
59.3  12
66.9  17
67.1  17



# LiCuTe2
Simulated X-ray diffraction stick pattern, Cu Kα (weighted mean of Kα1 and Kα2). Input: DFT lattice parameters and positions (PBE).
Intensities are scaled so that the largest is 100.

Cell lengths 5.663, 5.664, 12.765 Å; angles 90.00, 116.25, 90.00 degrees
Positions (direct):
Li  0.125  0.249  0.125
Li  0.125  0.751  0.625
Li  0.875  0.249  0.375
Li  0.875  0.751  0.875
Cu  0.375  0.251  0.875
Cu  0.375  0.749  0.375
Cu  0.625  0.251  0.625
Cu  0.625  0.749  0.125
Te  0.152  0.251  0.652
Te  0.152  0.749  0.152
Te  0.402  0.249  0.402
Te  0.402  0.751  0.902
Te  0.598  0.249  0.098
Te  0.598  0.751  0.598
Te  0.848  0.251  0.848
Te  0.848  0.749  0.348

Largest 10 diffraction maxima, sorted by position, 2θ from 5° to 70°:
2θ (°)  intensity
17.5  46
27.2  72
31.3  36
31.6  100
42.6  26
45.0  51
45.3  36
53.6  22
54.0  25
56.1  26



# Ba12PdPt5
Simulated X-ray diffraction stick pattern, Cu Kα (weighted mean of Kα1 and Kα2). Input: DFT lattice parameters and positions (PBE).
Intensities are scaled so that the largest is 100.

Cell lengths 8.042, 8.042, 15.098 Å; angles 95.07, 95.07, 120.00 degrees
Positions (direct):
Ba  0.038  0.375  0.114
Ba  0.129  0.129  0.387
Ba  0.204  0.537  0.613
Ba  0.299  0.299  0.886
Ba  0.375  0.038  0.114
Ba  0.463  0.796  0.387
Ba  0.537  0.204  0.613
Ba  0.625  0.962  0.886
Ba  0.701  0.701  0.114
Ba  0.796  0.463  0.387
Ba  0.871  0.871  0.613
Ba  0.962  0.625  0.886
Pd  0.000  0.000  0.000
Pt  0.166  0.834  0.500
Pt  0.333  0.667  0.000
Pt  0.500  0.500  0.500
Pt  0.667  0.333  0.000
Pt  0.834  0.166  0.500

Largest 10 diffraction maxima, sorted by position, 2θ from 5° to 70°:
2θ (°)  intensity
11.9  100
24.3  65
26.2  50
27.4  47
29.9  56
36.0  45
38.8  74
39.3  28
40.7  31
64.2  28



# LaFe2Sb
Simulated X-ray diffraction stick pattern, Cu Kα (weighted mean of Kα1 and Kα2). Input: DFT lattice parameters and positions (PBE).
Intensities are scaled so that the largest is 100.

Cell lengths 6.116, 6.116, 6.116 Å; angles 39.66, 39.66, 39.66 degrees
Positions (direct):
La  0.000  0.000  0.000
Fe  0.213  0.213  0.213
Fe  0.535  0.535  0.535
Sb  0.804  0.804  0.804

Largest 10 diffraction maxima, sorted by position, 2θ from 5° to 70°:
2θ (°)  intensity
25.3  62
31.8  20
32.7  100
36.5  86
43.6  91
55.0  25
55.6  21
58.2  22
60.6  19
67.3  17



# Sr2PbS2I2
Simulated X-ray diffraction stick pattern, Cu Kα (weighted mean of Kα1 and Kα2). Input: DFT lattice parameters and positions (PBE).
Intensities are scaled so that the largest is 100.

Cell lengths 9.226, 9.226, 9.226 Å; angles 145.37, 145.37, 49.78 degrees
Positions (direct):
Sr  0.107  0.107  0.000
Sr  0.893  0.893  0.000
Pb  0.500  0.500  0.000
S  0.000  0.500  0.500
S  0.500  0.000  0.500
I  0.304  0.304  0.000
I  0.696  0.696  0.000

Largest 10 diffraction maxima, sorted by position, 2θ from 5° to 70°:
2θ (°)  intensity
17.0  24
22.9  88
31.3  100
32.6  56
45.8  69
46.8  20
52.7  19
57.4  18
65.3  14
67.6  22



# Dy5Pb2
Simulated X-ray diffraction stick pattern, Cu Kα (weighted mean of Kα1 and Kα2). Input: DFT lattice parameters and positions (PBE).
Intensities are scaled so that the largest is 100.

Cell lengths 8.614, 8.614, 8.590 Å; angles 96.30, 96.30, 42.79 degrees
Positions (direct):
Dy  0.118  0.322  0.313
Dy  0.179  0.821  0.750
Dy  0.243  0.540  0.061
Dy  0.322  0.118  0.813
Dy  0.460  0.757  0.439
Dy  0.540  0.243  0.561
Dy  0.678  0.882  0.187
Dy  0.757  0.460  0.939
Dy  0.821  0.179  0.250
Dy  0.882  0.678  0.687
Pb  0.088  0.718  0.414
Pb  0.282  0.912  0.086
Pb  0.718  0.088  0.914
Pb  0.912  0.282  0.586

Largest 10 diffraction maxima, sorted by position, 2θ from 5° to 70°:
2θ (°)  intensity
29.0  45
30.3  24
31.9  24
32.1  74
32.5  69
32.8  75
34.3  25
34.5  100
37.2  30
60.8  27



# La3NdPb2
Simulated X-ray diffraction stick pattern, Cu Kα (weighted mean of Kα1 and Kα2). Input: DFT lattice parameters and positions (PBE).
Intensities are scaled so that the largest is 100.

Cell lengths 8.808, 8.808, 4.599 Å; angles 90.00, 90.00, 146.62 degrees
Positions (direct):
La  0.000  0.000  0.000
La  0.318  0.682  0.000
La  0.682  0.318  0.000
Nd  0.500  0.500  0.500
Pb  0.148  0.852  0.500
Pb  0.852  0.148  0.500

Largest 10 diffraction maxima, sorted by position, 2θ from 5° to 70°:
2θ (°)  intensity
30.7  100
31.8  22
35.5  18
39.2  14
48.4  11
51.3  11
53.9  11
60.8  15
63.9  10
65.8  11



# Tm3SnO6
Simulated X-ray diffraction stick pattern, Cu Kα (weighted mean of Kα1 and Kα2). Input: DFT lattice parameters and positions (PBE).
Intensities are scaled so that the largest is 100.

Cell lengths 6.652, 6.652, 6.652 Å; angles 92.67, 92.67, 92.67 degrees
Positions (direct):
Tm  0.060  0.752  0.569
Tm  0.248  0.431  0.940
Tm  0.431  0.940  0.248
Tm  0.569  0.060  0.752
Tm  0.752  0.569  0.060
Tm  0.940  0.248  0.431
Sn  0.000  0.000  0.000
Sn  0.500  0.500  0.500
O  0.030  0.696  0.909
O  0.091  0.970  0.304
O  0.161  0.433  0.617
O  0.304  0.091  0.970
O  0.383  0.839  0.567
O  0.433  0.617  0.161
O  0.567  0.383  0.839
O  0.617  0.161  0.433
O  0.696  0.909  0.030
O  0.839  0.567  0.383
O  0.909  0.030  0.696
O  0.970  0.304  0.091

Largest 10 diffraction maxima, sorted by position, 2θ from 5° to 70°:
2θ (°)  intensity
24.3  36
26.9  22
29.5  100
30.7  37
32.8  69
42.4  17
43.8  30
48.3  16
50.2  31
53.6  20



# Sr3Tl6Pd5
Simulated X-ray diffraction stick pattern, Cu Kα (weighted mean of Kα1 and Kα2). Input: DFT lattice parameters and positions (PBE).
Intensities are scaled so that the largest is 100.

Cell lengths 4.568, 14.351, 10.529 Å; angles 90.00, 90.00, 90.00 degrees
Positions (direct):
Sr  0.250  0.053  0.249
Sr  0.250  0.447  0.249
Sr  0.250  0.750  0.277
Sr  0.750  0.250  0.723
Sr  0.750  0.553  0.751
Sr  0.750  0.947  0.751
Tl  0.250  0.069  0.586
Tl  0.250  0.250  0.032
Tl  0.250  0.250  0.403
Tl  0.250  0.431  0.586
Tl  0.250  0.592  0.986
Tl  0.250  0.908  0.986
Tl  0.750  0.092  0.014
Tl  0.750  0.408  0.014
Tl  0.750  0.569  0.414
Tl  0.750  0.750  0.597
Tl  0.750  0.750  0.968
Tl  0.750  0.931  0.414
Pd  0.250  0.096  0.851
Pd  0.250  0.404  0.851
Pd  0.250  0.638  0.555
Pd  0.250  0.750  0.788
Pd  0.250  0.862  0.555
Pd  0.750  0.138  0.445
Pd  0.750  0.250  0.212
Pd  0.750  0.362  0.445
Pd  0.750  0.596  0.149
Pd  0.750  0.904  0.149

Largest 10 diffraction maxima, sorted by position, 2θ from 5° to 70°:
2θ (°)  intensity
16.8  44
28.3  41
31.6  29
32.0  100
34.6  52
37.0  27
37.4  43
37.6  41
39.5  80
55.6  30



# Tb2GaIr3
Simulated X-ray diffraction stick pattern, Cu Kα (weighted mean of Kα1 and Kα2). Input: DFT lattice parameters and positions (PBE).
Intensities are scaled so that the largest is 100.

Cell lengths 5.182, 5.182, 5.182 Å; angles 65.21, 65.21, 65.21 degrees
Positions (direct):
Tb  0.127  0.127  0.127
Tb  0.873  0.873  0.873
Ga  0.500  0.500  0.500
Ir  0.000  0.500  0.500
Ir  0.500  0.000  0.500
Ir  0.500  0.500  0.000

Largest 10 diffraction maxima, sorted by position, 2θ from 5° to 70°:
2θ (°)  intensity
34.8  46
37.9  100
39.2  87
40.1  68
41.5  34
58.9  20
61.9  23
63.7  19
66.2  21
67.0  34